1.
This entry pairs a crystal structure of Sb3O14 with its theoretical X-ray diffraction stick pattern. Radiation: λ = 1.5418 Å (Cu Kα). Structure: DFT lattice parameters and positions (PBE).
Lines closer than 0.1° are merged.

Principal peaks in the range 5° ≤ 2θ ≤ 70°, by angle:
| Position (°2θ) | Rel. int. | h k l |
| --- | --- | --- |
| 11.8 | 100 | 0 2 0 |
| 20.2 | 27 | 1 1 -1 |
| 22.7 | 22 | 1 2 -1 |
| 24.1 | 39 | 0 3 1 |
| 26.0 | 50 | 1 0 1 |
| 26.4 | 34 | 1 3 -1 |
| 28.6 | 26 | 1 2 1 |
| 28.9 | 33 | 1 4 0 |
| 39.6 | 27 | 1 6 0 |
| 51.6 | 27 | 3 0 -2 |

Atomic structure:
```
data_Sb3O14
_cell_length_a 5.7105
_cell_length_b 14.9815
_cell_length_c 5.7585
_cell_angle_alpha 90.00
_cell_angle_beta 106.57
_cell_angle_gamma 90.00
_space_group_name_H-M_alt 'P 1 21/m 1'
_space_group_IT_number 11
_space_group_name_Hall '-P 2yb'
loop_
_atom_site_label
_atom_site_type_symbol
_atom_site_fract_x
_atom_site_fract_y
_atom_site_fract_z
Sb1 Sb 0.0000 0.0000 0.0000
Sb2 Sb 0.4008 0.0808 0.6367
O1 O 0.0286 0.6307 0.0252
O2 O 0.0894 0.1752 0.5435
O3 O 0.1128 0.7500 0.8419
O4 O 0.1508 0.2500 0.6853
O5 O 0.2217 0.5007 0.7847
O6 O 0.3076 0.0076 0.3179
O7 O 0.4091 0.6514 0.0819
O8 O 0.4536 0.6740 0.5220
```



2.
This entry pairs a crystal structure of Sb5O14 with its theoretical X-ray diffraction stick pattern. Radiation: λ = 1.5418 Å (Cu Kα). Structure: DFT lattice parameters and positions (PBE).
Lines closer than 0.1° are merged.

Principal peaks in the range 5° ≤ 2θ ≤ 70°, by angle:
| Position (°2θ) | Rel. int. | h k l |
| --- | --- | --- |
| 10.5 | 100 | 0 2 0 |
| 17.3 | 31 | 0 1 1 |
| 22.3 | 27 | 1 2 -1 |
| 25.3 | 39 | 1 3 -1 |
| 26.6 | 96 | 1 0 1 |
| 26.8 | 26 | 0 4 1 |
| 29.0 | 39 | 1 4 -1 |
| 31.3 | 54 | 1 5 0 |
| 33.1 | 32 | 1 1 -2 |
| 36.4 | 30 | 2 3 -1 |

Atomic structure:
```
data_Sb5O14
_cell_length_a 5.6109
_cell_length_b 16.8895
_cell_length_c 5.6262
_cell_angle_alpha 90.00
_cell_angle_beta 106.76
_cell_angle_gamma 90.00
_space_group_name_H-M_alt 'P 1 21/m 1'
_space_group_IT_number 11
_space_group_name_Hall '-P 2yb'
loop_
_atom_site_label
_atom_site_type_symbol
_atom_site_fract_x
_atom_site_fract_y
_atom_site_fract_z
Sb1 Sb 0.0000 0.0000 0.0000
Sb2 Sb 0.2296 0.1395 0.7674
Sb3 Sb 0.3862 0.5790 0.6137
O1 O 0.0143 0.1145 0.9878
O2 O 0.0670 0.6335 0.5291
O3 O 0.1761 0.2500 0.8236
O4 O 0.1781 0.7500 0.9167
O5 O 0.2273 0.0104 0.7749
O6 O 0.3109 0.0002 0.3105
O7 O 0.4469 0.1525 0.5541
O8 O 0.4704 0.6345 0.9339
```



3.
This entry pairs a crystal structure of Sb3O7 with its theoretical X-ray diffraction stick pattern. Radiation: λ = 1.5418 Å (Cu Kα). Structure: DFT lattice parameters and positions (PBE).
Lines closer than 0.1° are merged.

Principal peaks in the range 5° ≤ 2θ ≤ 70°, by angle:
| Position (°2θ) | Rel. int. | h k l |
| --- | --- | --- |
| 14.7 | 40 | 0 1 1 |
| 16.7 | 15 | 0 0 2 |
| 28.7 | 15 | 2 1 1 |
| 29.7 | 100 | 2 0 2 |
| 33.9 | 11 | 0 0 4 |
| 34.8 | 18 | 2 2 0 |
| 49.3 | 31 | 2 2 4 |
| 58.0 | 15 | 0 2 6 |
| 59.2 | 14 | 2 4 2 |
| 59.4 | 13 | 4 2 2 |

Atomic structure:
```
data_Sb3O7
_cell_length_a 7.2777
_cell_length_b 7.3116
_cell_length_c 10.5912
_cell_angle_alpha 90.00
_cell_angle_beta 90.00
_cell_angle_gamma 90.00
_space_group_name_H-M_alt 'I m m a'
_space_group_IT_number 74
_space_group_name_Hall '-I 2b 2'
loop_
_atom_site_label
_atom_site_type_symbol
_atom_site_fract_x
_atom_site_fract_y
_atom_site_fract_z
Sb1 Sb 0.0000 0.0000 0.0000
Sb2 Sb 0.0000 0.0000 0.5000
Sb3 Sb 0.2500 0.2500 0.2500
O1 O 0.0000 0.2500 0.1844
O2 O 0.0000 0.2500 0.5680
O3 O 0.0000 0.2500 0.9250
O4 O 0.2178 0.0550 0.3825
```